[1]
The following is a theoretical powder X-ray diffraction pattern of AgI2. It was derived from a cell relaxed with PBE, using λ = 1.5418 Å (Cu Kα).
Kinematic intensities with the Lorentz-polarization factor, no thermal factor.

Structure:
```
12
Lattice="4.3235 0.0000 0.0000 -2.1617 3.7442 0.0000 0.0000 0.0000 24.2914" Properties=species:S:1:pos:R:3 pbc="T T T"
Ag 0.0000 2.4962 0.0000
Ag 0.0000 2.4962 6.0486
Ag 2.1617 1.2481 12.1457
Ag 2.1617 1.2481 18.1943
I 0.0000 0.0000 1.6291
I 0.0000 0.0000 7.6852
I 0.0000 0.0000 13.7748
I 0.0000 0.0000 19.8309
I 0.0000 2.4962 10.5562
I 0.0000 2.4962 16.5916
I 2.1617 1.2481 4.4459
I 2.1617 1.2481 22.7019
```

Largest 10 diffraction maxima, sorted by position, 10° ≤ 2θ ≤ 80°:
2θ (°)  intensity
26.22  21
28.00  100
30.13  34
35.26  27
38.16  17
41.23  18
41.79  56
51.05  18
68.02  15
76.71  16

---

[2]
The following is a theoretical powder X-ray diffraction pattern of CsWBr6. It was derived from a cell relaxed with PBE, using λ = 1.5418 Å (Cu Kα).
Kinematic intensities with the Lorentz-polarization factor, no thermal factor.

Structure:
```
16
Lattice="6.3332 -3.3190 0.0000 6.3332 3.3190 0.0000 -2.6798 0.0000 12.6490" Properties=species:S:1:pos:R:3 pbc="T T T"
Cs 4.3234 2.6123 9.4867
Cs 5.6633 -2.6123 3.1622
W 3.1666 1.6595 0.0000
W 1.8267 -1.6595 6.3245
Br 0.4971 0.3991 6.8350
Br 1.3809 0.5407 10.5827
Br 1.8370 -0.3991 0.5105
Br 5.1052 0.7436 1.3124
Br 2.7208 -0.5407 4.2582
Br 6.2214 0.7436 5.0121
Br 3.7653 -0.7436 7.6369
Br 7.2659 0.5407 8.3908
Br 4.8815 -0.7436 11.3366
Br 8.1497 0.3991 12.1385
Br 8.6058 -0.5407 2.0663
Br 9.4896 -0.3991 5.8140
```

Largest 10 diffraction maxima, sorted by position, 10° ≤ 2θ ≤ 80°:
2θ (°)  intensity
16.05  54
17.31  79
17.84  42
29.36  37
30.68  100
30.80  89
31.26  86
40.16  78
40.86  39
47.69  56

---

[3]
The following is a theoretical powder X-ray diffraction pattern of AgTeAsO. It was derived from a cell relaxed with PBE, using λ = 1.5418 Å (Cu Kα).
Kinematic intensities with the Lorentz-polarization factor, no thermal factor.

Structure:
```
8
Lattice="3.7776 0.0000 0.0000 0.0000 6.7281 0.0000 0.0000 0.0000 7.1034" Properties=species:S:1:pos:R:3 pbc="T T T"
Ag 0.0000 1.6510 0.0000
Ag 0.0000 5.0770 3.5517
Te 0.0000 2.4523 4.2416
Te 0.0000 4.2758 0.6899
As 1.8888 1.3336 2.6085
As 1.8888 5.3944 6.1602
O 1.8888 0.2912 6.7836
O 1.8888 6.4368 3.2319
```

Largest 10 diffraction maxima, sorted by position, 10° ≤ 2θ ≤ 80°:
2θ (°)  intensity
23.55  43
25.07  51
26.50  50
27.07  44
29.38  43
29.90  85
34.67  100
37.99  45
40.38  43
48.94  50

---

Please write out number 3 again, unchanged.
The following is a theoretical powder X-ray diffraction pattern of AgTeAsO. It was derived from a cell relaxed with PBE, using λ = 1.5418 Å (Cu Kα).
Kinematic intensities with the Lorentz-polarization factor, no thermal factor.

Structure:
```
8
Lattice="3.7776 0.0000 0.0000 0.0000 6.7281 0.0000 0.0000 0.0000 7.1034" Properties=species:S:1:pos:R:3 pbc="T T T"
Ag 0.0000 1.6510 0.0000
Ag 0.0000 5.0770 3.5517
Te 0.0000 2.4523 4.2416
Te 0.0000 4.2758 0.6899
As 1.8888 1.3336 2.6085
As 1.8888 5.3944 6.1602
O 1.8888 0.2912 6.7836
O 1.8888 6.4368 3.2319
```

Largest 10 diffraction maxima, sorted by position, 10° ≤ 2θ ≤ 80°:
2θ (°)  intensity
23.55  43
25.07  51
26.50  50
27.07  44
29.38  43
29.90  85
34.67  100
37.99  45
40.38  43
48.94  50

---

Number 1 is which compound?
AgI2